This entry pairs a crystal structure of Ac2YTl5 with its calculated X-ray powder pattern. Radiation: Cu Kα, 1.54184 Å. Structure: a DFT-relaxed cell (PBE, Alexandria).
Neutral-atom scattering factors, no anomalous dispersion.

Peak list (10 most intense, 5° ≤ 2θ ≤ 70°, by angle)
3.576 Å, rel. 7, hkl 1 1 2; 2.846 Å, rel. 57, hkl 2 0 0; 2.798 Å, rel. 100, hkl 1 1 4; 2.013 Å, rel. 21, hkl 2 2 0; 1.947 Å, rel. 7, hkl 0 0 8; 1.918 Å, rel. 5, hkl 2 0 6; 1.634 Å, rel. 41, hkl 3 1 4; 1.607 Å, rel. 15, hkl 2 0 8; 1.423 Å, rel. 7, hkl 4 0 0; 1.399 Å, rel. 10, hkl 2 2 8

Cell: 5.692 5.692 15.573 Å, 90.00 90.00 90.00°
Space group I4/mmm (No. 139)
One atom of each set of equivalent atoms:
Ac (0.000, 0.000, 0.243) [4 per cell]
Y (0.000, 0.000, 0.500) [2 per cell]
Tl (0.000, 0.000, 0.000) [2 per cell]
Tl (0.000, 0.500, 0.111) [8 per cell]


This entry pairs a crystal structure of Ac2Tl3Zn with its calculated X-ray powder pattern. Radiation: Cu Kα, 1.54184 Å. Structure: a DFT-relaxed cell (PBE, Alexandria).
Neutral-atom scattering factors, no anomalous dispersion.

Peak list (10 most intense, 5° ≤ 2θ ≤ 70°, by angle)
3.024 Å, rel. 48, hkl 1 0 2; 3.003 Å, rel. 100, hkl 1 1 1; 2.564 Å, rel. 62, hkl 0 1 3; 2.525 Å, rel. 31, hkl 0 2 0; 2.056 Å, rel. 17, hkl 2 0 0; 1.961 Å, rel. 15, hkl 1 0 4; 1.938 Å, rel. 28, hkl 1 2 2; 1.604 Å, rel. 31, hkl 2 1 3; 1.594 Å, rel. 16, hkl 2 2 0; 1.535 Å, rel. 14, hkl 1 3 1

Cell: 4.111 5.050 8.926 Å, 90.00 90.00 90.00°
Space group Pmm2 (No. 25)
One atom of each set of equivalent atoms:
Ac (0.000, 0.000, 0.000) [1 per cell]
Ac (0.000, 0.500, 0.490) [1 per cell]
Tl (0.500, 0.000, 0.641) [1 per cell]
Tl (0.500, 0.500, 0.177) [1 per cell]
Tl (0.500, 0.500, 0.830) [1 per cell]
Zn (0.500, 0.000, 0.323) [1 per cell]